1.
Structure and calculated powder diffraction line list of Ba8In3 (the GGA-PBE geometry in Alexandria; Cu Kα X-rays).

Atomic structure:
Cell lengths 12.0215, 12.0215, 14.6216 Å; angles 90.00, 90.00, 120.00 degrees
Space group R-3m (No. 166, hexagonal axes)
Unique sites:
Ba1 0.0000 0.0000 0.2459
Ba2 0.0107 0.5054 0.7487
In1 0.0000 0.5000 0.5000

Top 6 peaks for 2θ = 10–90°, in order of rising 2θ:
- 2θ 18.09, rel. 213, hkl 0 2 1
- 2θ 20.95, rel. 596, hkl 2 0 2
- 2θ 29.73, rel. 1000, hkl 2 2 0
- 2θ 29.87, rel. 995, hkl 0 2 4
- 2θ 42.64, rel. 366, hkl 4 0 4
- 2θ 52.82, rel. 571, hkl 2 4 4

2.
Structure and calculated powder diffraction line list of LaPr3Cd8 (the GGA-PBE geometry in Alexandria; Cu Kα X-rays).

Atomic structure:
Cell lengths 6.1361, 6.1361, 9.5537 Å; angles 90.00, 90.00, 120.00 degrees
Space group P3m1 (No. 156)
Unique sites:
La1 0.0000 0.0000 0.0000
Pr1 0.0000 0.0000 0.3859
Pr2 0.6667 0.3333 0.4985
Pr3 0.6667 0.3333 0.8818
Cd1 0.1639 0.3278 0.6908
Cd2 0.3333 0.6667 0.4408
Cd3 0.3333 0.6667 0.9416
Cd4 0.5035 0.0071 0.1922

Top 6 peaks for 2θ = 10–90°, in order of rising 2θ:
- 2θ 29.11, rel. 327, hkl 1 1 0
- 2θ 32.79, rel. 618, hkl 1 0 3
- 2θ 34.75, rel. 1000, hkl 1 1 2
- 2θ 35.05, rel. 747, hkl 0 2 1
- 2θ 59.60, rel. 299, hkl 0 2 5
- 2θ 60.34, rel. 275, hkl 2 2 0

3.
Structure and calculated powder diffraction line list of NdGeRu2N (the GGA-PBE geometry in Alexandria; Cu Kα X-rays).

Atomic structure:
Cell lengths 3.9080, 11.3245, 7.3309 Å; angles 90.00, 90.00, 90.00 degrees
Space group Cmcm (No. 63)
Unique sites:
Nd1 0.0000 0.0479 0.2500
Ge1 0.0000 0.2299 0.7500
Ru1 0.0000 0.3384 0.0538
N1 0.0000 0.5000 0.0000

Top 6 peaks for 2θ = 10–90°, in order of rising 2θ:
- 2θ 32.99, rel. 597, hkl 1 3 0
- 2θ 33.94, rel. 439, hkl 0 4 1
- 2θ 34.47, rel. 1000, hkl 1 1 2
- 2θ 35.25, rel. 561, hkl 1 3 1
- 2θ 40.22, rel. 480, hkl 0 2 3
- 2θ 46.47, rel. 340, hkl 2 0 0

4.
Structure and calculated powder diffraction line list of Ba2AgI5 (the GGA-PBE geometry in Alexandria; Cu Kα X-rays).

Atomic structure:
Cell lengths 14.2238, 10.7371, 10.3772 Å; angles 90.00, 96.45, 90.00 degrees
Space group P2_1/c (No. 14)
Unique sites:
Ba1 0.0353 0.1198 0.2529
Ba2 0.3643 0.1606 0.9730
Ag1 0.2966 0.6059 0.9872
I1 0.0897 0.6505 0.9578
I2 0.1103 0.1029 0.9143
I3 0.2774 0.0820 0.2730
I4 0.3914 0.0695 0.6592
I5 0.3913 0.6646 0.4903

Top 6 peaks for 2θ = 10–90°, in order of rising 2θ:
- 2θ 18.84, rel. 542, hkl 3 0 0
- 2θ 19.98, rel. 567, hkl 1 2 1
- 2θ 27.30, rel. 559, hkl 1 1 -3
- 2θ 28.99, rel. 458, hkl 4 0 -2
- 2θ 30.92, rel. 1000, hkl 0 2 3
- 2θ 32.32, rel. 775, hkl 4 2 1

5.
Structure and calculated powder diffraction line list of Cd2Ag3Au2 (the GGA-PBE geometry in Alexandria; Cu Kα X-rays).

Atomic structure:
Cell lengths 2.9713, 7.1124, 7.3258 Å; angles 117.04, 91.87, 101.65 degrees
Space group P-1 (No. 2)
Unique sites:
Cd1 0.1536 0.2706 0.3229
Ag1 0.1815 0.4044 0.7699
Ag2 0.5000 0.0000 0.5000
Au1 0.4397 0.8443 0.0723

Top 6 peaks for 2θ = 10–90°, in order of rising 2θ:
- 2θ 35.87, rel. 415, hkl 1 1 -1
- 2θ 36.30, rel. 515, hkl 1 -2 1
- 2θ 37.06, rel. 1000, hkl 0 1 2
- 2θ 37.58, rel. 402, hkl 1 1 0
- 2θ 38.10, rel. 958, hkl 0 2 -3
- 2θ 39.40, rel. 910, hkl 0 3 -1

6.
Structure and calculated powder diffraction line list of SmDy2YSc2 (the GGA-PBE geometry in Alexandria; Cu Kα X-rays).

Atomic structure:
Cell lengths 6.3126, 17.3817, 3.3395 Å; angles 90.00, 90.00, 90.00 degrees
Space group Pnnm (No. 58)
Unique sites:
Sm1 0.0000 0.0000 0.0000
Dy1 0.2240 0.3093 0.0000
Y1 0.0000 0.5000 0.0000
Sc1 0.2228 0.1467 0.5000

Top 6 peaks for 2θ = 10–90°, in order of rising 2θ:
- 2θ 24.88, rel. 396, hkl 1 4 0
- 2θ 30.12, rel. 810, hkl 2 2 0
- 2θ 30.72, rel. 322, hkl 1 1 1
- 2θ 30.89, rel. 1000, hkl 0 6 0
- 2θ 34.07, rel. 381, hkl 1 6 0
- 2θ 36.81, rel. 265, hkl 1 4 1

7.
Structure and calculated powder diffraction line list of Bi3Rh4S2 (the GGA-PBE geometry in Alexandria; Cu Kα X-rays).

Atomic structure:
Cell lengths 11.8597, 3.7314, 8.3098 Å; angles 90.00, 104.31, 90.00 degrees
Space group C2/m (No. 12)
Unique sites:
Bi1 0.0000 0.0000 0.0000
Bi2 0.1166 0.5000 0.3939
Rh1 0.0734 0.0000 0.6635
Rh2 0.2043 0.5000 0.1038
S1 0.1637 0.5000 0.8167

Top 6 peaks for 2θ = 10–90°, in order of rising 2θ:
- 2θ 28.24, rel. 945, hkl 1 1 1
- 2θ 33.17, rel. 746, hkl 2 0 -3
- 2θ 33.53, rel. 860, hkl 3 1 0
- 2θ 35.68, rel. 442, hkl 4 0 1
- 2θ 37.02, rel. 1000, hkl 3 1 -2
- 2θ 43.80, rel. 608, hkl 1 1 3

8.
Structure and calculated powder diffraction line list of Pr4SmY3 (the GGA-PBE geometry in Alexandria; Cu Kα X-rays).

Atomic structure:
Cell lengths 11.7655, 7.3957, 6.3866 Å; angles 90.00, 90.00, 90.00 degrees
Space group Pmn2_1 (No. 31)
Unique sites:
Pr1 0.0000 0.1282 0.0000
Pr2 0.0000 0.8720 0.4931
Pr3 0.2478 0.8743 0.8283
Sm1 0.0000 0.3753 0.4957
Y1 0.0000 0.6211 0.9943
Y2 0.2503 0.3786 0.8285

Top 6 peaks for 2θ = 10–90°, in order of rising 2θ:
- 2θ 27.90, rel. 238, hkl 0 2 1
- 2θ 30.39, rel. 252, hkl 4 0 0
- 2θ 31.85, rel. 1000, hkl 2 0 2
- 2θ 41.72, rel. 160, hkl 4 2 1
- 2θ 54.93, rel. 210, hkl 6 0 2
- 2θ 59.08, rel. 224, hkl 4 4 0

9.
Structure and calculated powder diffraction line list of PmSm2YMg (the GGA-PBE geometry in Alexandria; Cu Kα X-rays).

Atomic structure:
Cell lengths 5.9985, 7.5249, 7.2064 Å; angles 90.00, 90.00, 90.00 degrees
Space group Pmma (No. 51)
Unique sites:
Pm1 0.2500 0.0000 0.1633
Sm1 0.2500 0.2154 0.6928
Y1 0.2500 0.5000 0.3749
Mg1 0.0000 0.5000 0.0000

Top 6 peaks for 2θ = 10–90°, in order of rising 2θ:
- 2θ 24.71, rel. 156, hkl 0 0 2
- 2θ 28.91, rel. 164, hkl 1 0 2
- 2θ 29.79, rel. 357, hkl 2 0 0
- 2θ 30.67, rel. 1000, hkl 1 2 1
- 2θ 31.30, rel. 334, hkl 1 1 2
- 2θ 53.43, rel. 209, hkl 3 2 1

10.
Structure and calculated powder diffraction line list of Cs2TlH6Ru (the GGA-PBE geometry in Alexandria; Cu Kα X-rays).

Atomic structure:
Cell lengths 6.4004, 6.4004, 5.4540 Å; angles 90.00, 90.00, 120.00 degrees
Space group P-3m1 (No. 164)
Unique sites:
Cs1 0.3333 0.6667 0.2383
Tl1 0.0000 0.0000 0.5000
H1 0.1416 0.2833 0.8635
Ru1 0.0000 0.0000 0.0000

Top 6 peaks for 2θ = 10–90°, in order of rising 2θ:
- 2θ 15.99, rel. 371, hkl 1 0 0
- 2θ 22.88, rel. 626, hkl 1 0 1
- 2θ 27.88, rel. 1000, hkl 1 1 0
- 2θ 36.73, rel. 572, hkl 0 1 2
- 2θ 46.73, rel. 291, hkl 2 0 2
- 2θ 55.30, rel. 352, hkl 1 2 2

11.
Structure and calculated powder diffraction line list of Na5Tl5Sn2 (the GGA-PBE geometry in Alexandria; Cu Kα X-rays).

Atomic structure:
Cell lengths 10.7697, 5.4249, 13.1459 Å; angles 90.00, 114.04, 90.00 degrees
Space group C2/m (No. 12)
Unique sites:
Na1 0.0000 0.0000 0.0000
Na2 0.1350 0.5000 0.7754
Na3 0.1713 0.5000 0.5152
Tl1 0.0000 0.0000 0.5000
Tl2 0.0415 0.0000 0.2631
Tl3 0.2001 0.5000 0.0478
Sn1 0.2228 0.5000 0.2873

Top 6 peaks for 2θ = 10–90°, in order of rising 2θ:
- 2θ 18.68, rel. 1000, hkl 1 1 -1
- 2θ 22.17, rel. 671, hkl 2 0 1
- 2θ 31.90, rel. 772, hkl 3 1 0
- 2θ 33.02, rel. 584, hkl 0 2 0
- 2θ 35.35, rel. 940, hkl 3 1 -4
- 2θ 38.51, rel. 604, hkl 1 1 4

Copy entry 11 word for word.
Structure and calculated powder diffraction line list of Na5Tl5Sn2 (the GGA-PBE geometry in Alexandria; Cu Kα X-rays).

Atomic structure:
Cell lengths 10.7697, 5.4249, 13.1459 Å; angles 90.00, 114.04, 90.00 degrees
Space group C2/m (No. 12)
Unique sites:
Na1 0.0000 0.0000 0.0000
Na2 0.1350 0.5000 0.7754
Na3 0.1713 0.5000 0.5152
Tl1 0.0000 0.0000 0.5000
Tl2 0.0415 0.0000 0.2631
Tl3 0.2001 0.5000 0.0478
Sn1 0.2228 0.5000 0.2873

Top 6 peaks for 2θ = 10–90°, in order of rising 2θ:
- 2θ 18.68, rel. 1000, hkl 1 1 -1
- 2θ 22.17, rel. 671, hkl 2 0 1
- 2θ 31.90, rel. 772, hkl 3 1 0
- 2θ 33.02, rel. 584, hkl 0 2 0
- 2θ 35.35, rel. 940, hkl 3 1 -4
- 2θ 38.51, rel. 604, hkl 1 1 4